For KF4, a crystal structure in Alexandria, relaxed with PBE gives the theoretical powder XRD pattern in this record (Cu Kα (λ = 1.5418 Å)).

Atomic structure:
abc: 9.3738 9.3738 3.9450
angles: 90.00 90.00 90.00
Space group P4/mbm (No. 127)
Asymmetric unit:
K 0.2187 0.2813 0.0000 [4 per cell]
F 0.0000 0.0000 0.1822 [4 per cell]
F 0.0154 0.2546 0.5000 [8 per cell]
F 0.1144 0.6144 0.5000 [4 per cell]

Principal peaks in the range 15 to 90 degrees two-theta, by angle:
(hkl)	2θ/deg	d/Å	I (rel.)
2 0 1	29.60	3.018	25.3
3 1 0	30.15	2.964	27.8
2 1 1	31.13	2.873	26.2
3 2 0	34.50	2.600	17.6
2 2 1	35.37	2.538	100.0
4 0 0	38.41	2.343	26.4
0 0 2	46.05	1.971	25.3
4 4 0	55.45	1.657	14.2